Structure and computed XRD peak list of Tb4Zn3Pt (a crystal structure in Alexandria, relaxed with GGA-PBE; Cu Ka).
Intensities are scaled so that the largest is 100.

Structural model:
abc: 3.5865 3.5865 14.0651
angles: 90.00 90.00 90.00
Positions (direct):
Tb (0.0000, 0.0000, 0.1185)
Tb (0.0000, 0.0000, 0.3735)
Tb (0.0000, 0.0000, 0.6265)
Tb (0.0000, 0.0000, 0.8815)
Zn (0.5000, 0.5000, 0.2502)
Zn (0.5000, 0.5000, 0.5000)
Zn (0.5000, 0.5000, 0.7498)
Pt (0.5000, 0.5000, 0.0000)

Largest 10 diffraction maxima, in order of rising 2θ, 2θ from 10° to 80°:
d (Å)	I/Imax	index
7.033	5	0 0 2
3.586	6	1 0 0
2.536	52	1 1 0
2.511	100	1 0 4
1.793	18	2 0 0
1.758	8	0 0 8
1.459	37	2 1 4
1.445	17	1 1 8
1.268	6	2 2 0
1.255	11	2 0 8